Entry 1:
This entry pairs a crystal structure of Cs2AsI7 with its theoretical powder X-ray diffraction pattern. Radiation: Cu Kα (weighted mean of Kα1 and Kα2). Structure: a cell relaxed with PBE.
Neutral-atom scattering factors, no anomalous dispersion.

Peak list (12 most intense, 2θ = 5–70°, sorted by position)
Position (°2θ)	d_spacing	Rel. int.
14.32	6.183	16
20.31	4.372	17
24.94	3.570	85
28.88	3.092	100
31.54	2.837	8
41.30	2.186	72
48.85	1.864	35
51.18	1.785	24
57.22	1.610	7
59.83	1.546	11
65.84	1.418	12
67.78	1.383	29

Structure:
Lattice parameters (Å, degrees): 8.7442 8.7442 8.7442 60.00 60.00 60.00
Sites, in units of the cell vectors:
Cs 0.2500 0.2500 0.2500
Cs 0.7500 0.7500 0.7500
As 0.0000 0.0000 0.0000
I 0.2315 0.2315 0.7685
I 0.2315 0.7685 0.2315
I 0.2315 0.7685 0.7685
I 0.5000 0.5000 0.5000
I 0.7685 0.2315 0.2315
I 0.7685 0.2315 0.7685
I 0.7685 0.7685 0.2315

---

Entry 2:
This entry pairs a crystal structure of Cs3As2I8 with its theoretical powder X-ray diffraction pattern. Radiation: Cu Kα (weighted mean of Kα1 and Kα2). Structure: a cell relaxed with PBE.
Neutral-atom scattering factors, no anomalous dispersion.

Peak list (12 most intense, 2θ = 5–70°, sorted by position)
Position (°2θ)	d_spacing	Rel. int.
8.89	9.950	37
18.65	4.759	28
20.21	4.395	29
21.38	4.156	28
22.64	3.928	59
24.76	3.596	53
26.88	3.317	100
27.34	3.262	46
27.93	3.194	26
28.93	3.087	45
29.30	3.048	28
32.57	2.749	28

Structure:
Lattice parameters (Å, degrees): 7.8847 9.0800 10.9155 111.05 93.32 110.98
Sites, in units of the cell vectors:
Cs 0.0000 0.0000 0.0000
Cs 0.2464 0.4607 0.6769
Cs 0.7536 0.5393 0.3231
As 0.4393 0.9038 0.3502
As 0.5607 0.0962 0.6498
I 0.1990 0.9742 0.6538
I 0.2309 0.5148 0.3225
I 0.3218 0.7426 0.0552
I 0.3354 0.1562 0.3474
I 0.6646 0.8438 0.6526
I 0.6782 0.2574 0.9448
I 0.7691 0.4852 0.6775
I 0.8010 0.0258 0.3462

---

Entry 3:
This entry pairs a crystal structure of Cs4AsI with its theoretical powder X-ray diffraction pattern. Radiation: Cu Kα (weighted mean of Kα1 and Kα2). Structure: a cell relaxed with PBE.
Neutral-atom scattering factors, no anomalous dispersion.

Peak list (12 most intense, 2θ = 5–70°, sorted by position)
Position (°2θ)	d_spacing	Rel. int.
17.13	5.175	25
19.64	4.520	18
19.80	4.484	36
25.89	3.442	20
27.66	3.225	100
28.01	3.186	35
28.28	3.156	47
28.40	3.143	65
40.22	2.242	26
48.88	1.863	15
49.65	1.836	32
50.14	1.819	16

Structure:
Lattice parameters (Å, degrees): 6.4532 6.4532 10.8748 107.07 107.07 58.56
Sites, in units of the cell vectors:
Cs 0.1161 0.1161 0.3373
Cs 0.3605 0.3605 0.0817
Cs 0.6395 0.6395 0.9183
Cs 0.8839 0.8839 0.6627
As 0.0000 0.0000 0.0000
I 0.5000 0.5000 0.5000

---

Entry 4:
This entry pairs a crystal structure of CsAsPb2I8 with its theoretical powder X-ray diffraction pattern. Radiation: Cu Kα (weighted mean of Kα1 and Kα2). Structure: a cell relaxed with PBE.
Neutral-atom scattering factors, no anomalous dispersion.

Peak list (12 most intense, 2θ = 5–70°, sorted by position)
Position (°2θ)	d_spacing	Rel. int.
14.89	5.951	59
18.57	4.778	43
19.68	4.511	33
23.03	3.861	42
23.95	3.716	51
24.78	3.593	100
26.70	3.338	73
28.13	3.172	45
30.31	2.948	35
31.61	2.830	40
36.45	2.465	40
37.63	2.390	49

Structure:
Lattice parameters (Å, degrees): 7.6804 8.0601 10.3711 73.24 79.37 75.13
Sites, in units of the cell vectors:
Cs 0.0000 0.0000 0.0000
As 0.0000 0.0000 0.5000
Pb 0.4465 0.4347 0.2460
Pb 0.5535 0.5653 0.7540
I 0.1358 0.7170 0.7308
I 0.2512 0.2048 0.5146
I 0.2625 0.8246 0.3157
I 0.4027 0.2727 0.0190
I 0.5973 0.7273 0.9810
I 0.7375 0.1754 0.6843
I 0.7488 0.7952 0.4854
I 0.8642 0.2830 0.2692

---

Entry 5:
This entry pairs a crystal structure of CsKIn2As2 with its theoretical powder X-ray diffraction pattern. Radiation: Cu Kα (weighted mean of Kα1 and Kα2). Structure: a cell relaxed with PBE.
Neutral-atom scattering factors, no anomalous dispersion.

Peak list (12 most intense, 2θ = 5–70°, sorted by position)
Position (°2θ)	d_spacing	Rel. int.
16.15	5.487	19
22.80	3.900	18
26.84	3.321	100
32.63	2.744	24
37.33	2.409	49
40.91	2.206	11
45.06	2.012	7
46.57	1.950	21
50.41	1.810	37
54.80	1.675	11
61.14	1.516	19
67.32	1.391	8

Structure:
Lattice parameters (Å, degrees): 4.8183 4.8183 10.9741 90.00 90.00 120.00
Sites, in units of the cell vectors:
Cs 0.0000 0.0000 0.0000
K 0.0000 0.0000 0.5000
In 0.3333 0.6667 0.7397
In 0.6667 0.3333 0.2603
As 0.3333 0.6667 0.2725
As 0.6667 0.3333 0.7275

---

Entry 6:
This entry pairs a crystal structure of Cs12NbIn6As9 with its theoretical powder X-ray diffraction pattern. Radiation: Cu Kα (weighted mean of Kα1 and Kα2). Structure: a cell relaxed with PBE.
Neutral-atom scattering factors, no anomalous dispersion.

Peak list (12 most intense, 2θ = 5–70°, sorted by position)
Position (°2θ)	d_spacing	Rel. int.
26.58	3.354	41
27.29	3.268	38
28.34	3.149	39
28.56	3.126	69
28.67	3.114	64
28.79	3.100	36
28.95	3.084	100
29.30	3.048	78
29.75	3.003	33
29.87	2.991	64
29.98	2.981	36
30.07	2.972	48

Structure:
Lattice parameters (Å, degrees): 9.7309 9.7965 25.6395 86.86 87.18 63.37
Sites, in units of the cell vectors:
Cs 0.0000 0.0000 0.0000
Cs 0.0000 0.0000 0.5000
Cs 0.0591 0.4501 0.3077
Cs 0.1530 0.1035 0.7411
Cs 0.1738 0.7333 0.1329
Cs 0.2019 0.5385 0.5327
Cs 0.2428 0.1950 0.9348
Cs 0.2855 0.6306 0.7500
Cs 0.3375 0.0583 0.5674
Cs 0.3808 0.2852 0.1793
Cs 0.4629 0.7350 0.9837
Cs 0.4644 0.3836 0.3824
Cs 0.4774 0.1891 0.8141
Cs 0.5226 0.8109 0.1859
Cs 0.5356 0.6164 0.6176
Cs 0.5371 0.2650 0.0163
Cs 0.6192 0.7148 0.8207
Cs 0.6625 0.9417 0.4326
Cs 0.7145 0.3694 0.2500
Cs 0.7572 0.8050 0.0652
Cs 0.7981 0.4615 0.4673
Cs 0.8262 0.2667 0.8671
Cs 0.8470 0.8965 0.2589
Cs 0.9409 0.5499 0.6923
Nb 0.2405 0.0580 0.3872
Nb 0.7595 0.9420 0.6128
In 0.0549 0.1566 0.1578
In 0.0798 0.3799 0.0587
In 0.1261 0.7742 0.3754
In 0.1739 0.0036 0.2660
In 0.2961 0.5606 0.8960
In 0.4772 0.2665 0.6662
In 0.5228 0.7335 0.3338
In 0.7039 0.4394 0.1040
In 0.8261 0.9964 0.7340
In 0.8739 0.2258 0.6246
In 0.9202 0.6201 0.9413
In 0.9451 0.8434 0.8422
As 0.0219 0.8989 0.6447
As 0.0479 0.5257 0.8417
As 0.1573 0.5865 0.0040
As 0.1961 0.8781 0.8649
As 0.2097 0.2551 0.4456
As 0.2850 0.0801 0.0818
As 0.2968 0.6805 0.2764
As 0.3646 0.7937 0.4325
As 0.4119 0.0549 0.3086
As 0.5881 0.9451 0.6914
As 0.6354 0.2063 0.5675
As 0.7032 0.3195 0.7236
As 0.7150 0.9199 0.9182
As 0.7903 0.7449 0.5544
As 0.8039 0.1219 0.1351
As 0.8427 0.4135 0.9960
As 0.9521 0.4743 0.1583
As 0.9781 0.1011 0.3553

---

Entry 7:
This entry pairs a crystal structure of Cs2ZnInAs2 with its theoretical powder X-ray diffraction pattern. Radiation: Cu Kα (weighted mean of Kα1 and Kα2). Structure: a cell relaxed with PBE.
Neutral-atom scattering factors, no anomalous dispersion.

Peak list (12 most intense, 2θ = 5–70°, sorted by position)
Position (°2θ)	d_spacing	Rel. int.
10.48	8.445	21
25.97	3.431	15
28.03	3.183	100
33.66	2.663	43
37.06	2.426	42
46.93	1.936	13
47.09	1.930	31
49.61	1.838	9
50.78	1.798	18
53.41	1.715	14
61.40	1.510	14
64.63	1.442	12

Structure:
Lattice parameters (Å, degrees): 9.7395 9.7395 9.7395 138.74 59.76 138.76
Sites, in units of the cell vectors:
Cs 0.1696 0.2494 0.4190
Cs 0.3304 0.7494 0.0799
Cs 0.6696 0.2506 0.9201
Cs 0.8304 0.7506 0.5810
Zn 0.2500 0.2500 0.0000
Zn 0.7500 0.7500 0.0000
In 0.2500 0.7500 0.5000
In 0.7500 0.2500 0.5000
As 0.0820 0.7751 0.8572
As 0.4180 0.2751 0.6931
As 0.5820 0.7249 0.3069
As 0.9180 0.2249 0.1428

---

Entry 8:
This entry pairs a crystal structure of CsAs2IrO8 with its theoretical powder X-ray diffraction pattern. Radiation: Cu Kα (weighted mean of Kα1 and Kα2). Structure: a cell relaxed with PBE.
Neutral-atom scattering factors, no anomalous dispersion.

Peak list (12 most intense, 2θ = 5–70°, sorted by position)
Position (°2θ)	d_spacing	Rel. int.
9.27	9.545	39
18.59	4.772	12
21.31	4.170	11
23.90	3.723	100
32.36	2.766	27
35.67	2.517	32
37.58	2.393	13
40.52	2.226	11
43.39	2.085	18
49.21	1.852	10
52.84	1.733	15
57.38	1.606	17

Structure:
Lattice parameters (Å, degrees): 9.9777 9.9777 9.9777 29.22 29.22 29.22
Sites, in units of the cell vectors:
Cs 0.0000 0.0000 0.0000
As 0.2276 0.2276 0.2276
As 0.7724 0.7724 0.7724
Ir 0.5000 0.5000 0.5000
O 0.1345 0.4753 0.7694
O 0.2306 0.8655 0.5247
O 0.2858 0.2858 0.2858
O 0.4753 0.7694 0.1345
O 0.5247 0.2306 0.8655
O 0.7142 0.7142 0.7142
O 0.7694 0.1345 0.4753
O 0.8655 0.5247 0.2306

---

Entry 9:
This entry pairs a crystal structure of Cs2K2As with its theoretical powder X-ray diffraction pattern. Radiation: Cu Kα (weighted mean of Kα1 and Kα2). Structure: a cell relaxed with PBE.
Neutral-atom scattering factors, no anomalous dispersion.

Peak list (12 most intense, 2θ = 5–70°, sorted by position)
Position (°2θ)	d_spacing	Rel. int.
13.59	6.515	40
17.39	5.098	17
20.33	4.368	29
20.98	4.235	19
24.42	3.646	100
24.96	3.567	43
26.94	3.309	48
30.59	2.923	39
35.68	2.517	37
36.82	2.441	20
46.09	1.969	17
46.21	1.964	20

Structure:
Lattice parameters (Å, degrees): 8.4697 10.1963 6.6190 90.00 90.00 90.00
Sites, in units of the cell vectors:
Cs 0.2080 0.0828 0.0000
Cs 0.2920 0.5828 0.0000
Cs 0.7080 0.4172 0.0000
Cs 0.7920 0.9172 0.0000
K 0.1712 0.3108 0.5000
K 0.3288 0.8108 0.5000
K 0.6712 0.1892 0.5000
K 0.8288 0.6892 0.5000
As 0.0000 0.0000 0.5000
As 0.5000 0.5000 0.5000